Structure and calculated powder diffractogram of PmNbCoN3 (a cell relaxed with GGA-PBE; a wavelength of 1.5418 Å).
Peak positions follow from Bragg's law for the DFT cell and can differ from measured ones.

Peak list (10 most intense, 10° ≤ 2θ ≤ 80°, in order of rising 2θ)
index, 2θ/deg, I/Imax
1 0 0, 13.54, 35
1 0 1, 20.88, 46
0 0 2, 25.42, 51
2 0 0, 27.26, 48
0 1 1, 30.67, 90
2 0 -2, 32.13, 98
0 1 2, 38.06, 81
0 0 3, 38.55, 33
2 1 -1, 39.06, 73
2 1 0, 39.35, 100

Structure:
```
data_PmNbCoN3
_symmetry_space_group_name_H-M 'P 1 21/m 1'
_symmetry_Int_Tables_number 11
_symmetry_space_group_name_Hall '-P 2yb'
_cell_length_a 6.783
_cell_length_b 3.206
_cell_length_c 7.265
_cell_angle_alpha 90.00
_cell_angle_beta 105.32
_cell_angle_gamma 90.00
loop_
_atom_site_label
_atom_site_type_symbol
_atom_site_fract_x
_atom_site_fract_y
_atom_site_fract_z
Pm1 Pm 0.195 0.250 0.220
Nb1 Nb 0.330 0.750 0.845
Co1 Co 0.102 0.250 0.596
N1 N 0.120 0.250 0.869
N2 N 0.200 0.750 0.503
N3 N 0.443 0.750 0.148
```



Structure and calculated powder diffractogram of Sr3Sn3Pt2 (a cell relaxed with GGA-PBE; a wavelength of 1.5418 Å).
Peak positions follow from Bragg's law for the DFT cell and can differ from measured ones.

Peak list (10 most intense, 10° ≤ 2θ ≤ 80°, in order of rising 2θ)
index, 2θ/deg, I/Imax
0 2 0, 15.36, 78
1 1 1, 21.00, 35
1 1 4, 30.04, 100
1 3 1, 30.44, 58
1 3 3, 34.32, 73
0 4 3, 35.27, 53
1 3 4, 37.42, 77
2 0 0, 38.00, 70
1 1 7, 44.26, 50
1 7 0, 59.36, 38

Structure:
```
data_Sr3Sn3Pt2
_symmetry_space_group_name_H-M 'C m c m'
_symmetry_Int_Tables_number 63
_symmetry_space_group_name_Hall '-C 2c 2'
_cell_length_a 4.736
_cell_length_b 11.540
_cell_length_c 16.202
_cell_angle_alpha 90.00
_cell_angle_beta 90.00
_cell_angle_gamma 90.00
loop_
_atom_site_label
_atom_site_type_symbol
_atom_site_fract_x
_atom_site_fract_y
_atom_site_fract_z
Sr1 Sr 0.000 0.073 0.111
Sr2 Sr 0.000 0.361 0.250
Sn1 Sn 0.000 0.339 0.750
Sn2 Sn 0.000 0.357 0.036
Pt1 Pt 0.000 0.212 0.605
```



Structure and calculated powder diffractogram of NaCrN2 (a cell relaxed with GGA-PBE; a wavelength of 1.5418 Å).
Peak positions follow from Bragg's law for the DFT cell and can differ from measured ones.

Peak list (10 most intense, 10° ≤ 2θ ≤ 80°, in order of rising 2θ)
index, 2θ/deg, I/Imax
1 1 0, 20.12, 46
0 1 1, 20.42, 57
1 2 0, 29.70, 36
2 0 0, 31.84, 31
0 0 2, 32.60, 50
1 2 1, 33.98, 100
2 0 1, 35.89, 25
1 2 2, 44.67, 21
1 2 3, 59.06, 24
3 2 2, 65.78, 22

Structure:
```
data_NaCrN2
_symmetry_space_group_name_H-M 'P n a 21'
_symmetry_Int_Tables_number 33
_symmetry_space_group_name_Hall 'P 2c -2n'
_cell_length_a 5.621
_cell_length_b 7.121
_cell_length_c 5.494
_cell_angle_alpha 90.00
_cell_angle_beta 90.00
_cell_angle_gamma 90.00
loop_
_atom_site_label
_atom_site_type_symbol
_atom_site_fract_x
_atom_site_fract_y
_atom_site_fract_z
Na1 Na 0.088 0.124 0.000
Cr1 Cr 0.064 0.628 0.014
N1 N 0.018 0.555 0.319
N2 N 0.127 0.180 0.464
```



Structure and calculated powder diffractogram of DyTiZn (a cell relaxed with GGA-PBE; a wavelength of 1.5418 Å).
Peak positions follow from Bragg's law for the DFT cell and can differ from measured ones.

Peak list (10 most intense, 10° ≤ 2θ ≤ 80°, in order of rising 2θ)
index, 2θ/deg, I/Imax
0 0 3, 23.31, 14
1 0 0, 27.13, 19
1 0 2, 31.39, 19
1 0 3, 36.07, 100
1 1 0, 38.75, 45
1 1 3, 45.71, 10
2 0 0, 55.96, 15
1 1 5, 56.41, 9
1 1 6, 63.03, 14
2 1 3, 68.40, 29

Structure:
```
data_DyTiZn
_symmetry_space_group_name_H-M 'P 4/m m m'
_symmetry_Int_Tables_number 123
_symmetry_space_group_name_Hall '-P 4 2'
_cell_length_a 3.286
_cell_length_b 3.286
_cell_length_c 11.449
_cell_angle_alpha 90.00
_cell_angle_beta 90.00
_cell_angle_gamma 90.00
loop_
_atom_site_label
_atom_site_type_symbol
_atom_site_fract_x
_atom_site_fract_y
_atom_site_fract_z
Dy1 Dy 0.000 0.000 0.180
Ti1 Ti 0.500 0.500 0.366
Zn1 Zn 0.000 0.000 0.500
Zn2 Zn 0.500 0.500 0.000
```



Structure and calculated powder diffractogram of La5PrNd12 (a cell relaxed with GGA-PBE; a wavelength of 1.5418 Å).
Peak positions follow from Bragg's law for the DFT cell and can differ from measured ones.

Peak list (10 most intense, 10° ≤ 2θ ≤ 80°, in order of rising 2θ)
index, 2θ/deg, I/Imax
3 3 1, 29.56, 100
0 6 0, 34.24, 34
6 0 0, 34.30, 17
6 6 0, 49.24, 36
3 3 3, 58.39, 15
3 9 1, 58.52, 29
6 6 2, 61.35, 13
0 12 0, 72.27, 4
3 9 3, 79.84, 12
9 9 1, 79.95, 6

Structure:
```
data_La5PrNd12
_symmetry_space_group_name_H-M 'C m m m'
_symmetry_Int_Tables_number 65
_symmetry_space_group_name_Hall '-C 2 2'
_cell_length_a 15.687
_cell_length_b 15.691
_cell_length_c 5.244
_cell_angle_alpha 90.00
_cell_angle_beta 90.00
_cell_angle_gamma 90.00
loop_
_atom_site_label
_atom_site_type_symbol
_atom_site_fract_x
_atom_site_fract_y
_atom_site_fract_z
La1 La 0.000 0.000 0.000
La2 La 0.000 0.166 0.500
La3 La 0.000 0.333 0.000
Pr1 Pr 0.000 0.500 0.500
Nd1 Nd 0.167 0.334 0.500
Nd2 Nd 0.168 0.000 0.500
Nd3 Nd 0.168 0.167 0.000
Nd4 Nd 0.168 0.500 0.000
```



Structure and calculated powder diffractogram of YH6Pd8 (a cell relaxed with GGA-PBE; a wavelength of 1.5418 Å).
Peak positions follow from Bragg's law for the DFT cell and can differ from measured ones.

Peak list (10 most intense, 10° ≤ 2θ ≤ 80°, in order of rising 2θ)
index, 2θ/deg, I/Imax
1 1 1, 37.40, 100
1 -2 2, 37.48, 33
0 0 3, 41.25, 26
0 3 -1, 43.61, 22
2 -1 0, 45.50, 20
2 -1 3, 63.08, 14
2 2 -1, 64.85, 13
1 1 4, 72.57, 9
1 4 0, 75.88, 8
1 4 -3, 76.06, 8

Structure:
```
data_YH6Pd8
_symmetry_space_group_name_H-M 'P -1'
_symmetry_Int_Tables_number 2
_symmetry_space_group_name_Hall '-P 1'
_cell_length_a 3.987
_cell_length_b 6.537
_cell_length_c 6.879
_cell_angle_alpha 106.47
_cell_angle_beta 90.06
_cell_angle_gamma 107.73
loop_
_atom_site_label
_atom_site_type_symbol
_atom_site_fract_x
_atom_site_fract_y
_atom_site_fract_z
Y1 Y 0.000 0.000 0.000
H1 H 0.084 0.172 0.384
H2 H 0.305 0.606 0.711
H3 H 0.387 0.776 0.283
Pd1 Pd 0.116 0.231 0.676
Pd2 Pd 0.221 0.441 0.327
Pd3 Pd 0.332 0.665 0.999
Pd4 Pd 0.446 0.892 0.664
```